K6SeCl2O: simulated X-ray diffraction stick pattern (Cu Kα), based on a GGA-PBE-relaxed structure.

Main lines, sorted by position (15 to 90 degrees two-theta):
2θ 15.44, I 65.3, hkl 1 0 1; 2θ 15.71, I 55.3, hkl 0 2 0; 2θ 28.35, I 89.2, hkl 2 2 0; 2θ 31.16, I 62.5, hkl 2 0 2; 2θ 31.73, I 64.8, hkl 0 4 0; 2θ 32.18, I 100.0, hkl 2 1 2; 2θ 34.55, I 84.8, hkl 0 2 3; 2θ 35.11, I 59.7, hkl 2 3 1; 2θ 35.46, I 37.7, hkl 1 4 1; 2θ 60.42, I 44.8, hkl 4 2 3

Atomic structure:
a b c (Å): 7.591 11.282 8.772
angles (deg): 90.00 90.00 90.00
Space group Pmmn (No. 59, origin choice 2)
One atom of each set of equivalent atoms:
K 0.010 0.250 0.028 x4
K 0.019 0.750 0.376 x4
K 0.250 0.017 0.805 x4
Se 0.250 0.750 0.679 x2
Cl 0.250 0.562 0.151 x4
O 0.250 0.250 0.806 x2